LiBePb: calculated powder diffractogram (Cu Kα), based on the PBE geometry in Alexandria.

Crystal structure
a = 3.9556 Å, b = 3.9556 Å, c = 24.9216 Å
α = 90.00°, β = 90.00°, γ = 120.00°
Space group R3m (No. 160, hexagonal axes)
Inequivalent atoms, fractional coordinates:
Li1 0.0000 0.0000 0.0000
Li2 0.0000 0.0000 0.1434
Be1 0.0000 0.0000 0.5182
Be2 0.0000 0.0000 0.8553
Pb1 0.0000 0.0000 0.2508
Pb2 0.0000 0.0000 0.7476

Principal peaks in the range 2θ from 5° to 70°, most intense first:
26.99°, 3.303 Å, I 100, hkl 0 1 2
29.76°, 3.002 Å, I 82, hkl 1 0 4
21.39°, 4.154 Å, I 55, hkl 0 0 6
39.08°, 2.305 Å, I 43, hkl 0 1 8
51.15°, 1.786 Å, I 35, hkl 1 1 6
45.88°, 1.978 Å, I 29, hkl 1 1 0
44.98°, 2.015 Å, I 27, hkl 1 0 10
65.13°, 1.432 Å, I 19, hkl 1 1 12
54.04°, 1.697 Å, I 15, hkl 2 0 2
55.65°, 1.652 Å, I 15, hkl 0 2 4